# 1
Diffraction record for TmZr2As3. The powder diffractogram is calculated, not measured: it uses a structure optimized by DFT (PBE) and Cu Kα, 1.54184 Å.
Lines closer than 0.1° are merged.

```
data_TmZr2As3
_chemical_formula_sum 'Tm2 Zr4 As6'
_cell_length_a 3.9156
_cell_length_b 5.5582
_cell_length_c 11.8063
_cell_angle_alpha 90.00
_cell_angle_beta 90.00
_cell_angle_gamma 90.00
_symmetry_space_group_name_H-M 'P 1'
_symmetry_Int_Tables_number 1
_symmetry_space_group_name_Hall 'P 1'
loop_
_atom_site_label
_atom_site_type_symbol
_atom_site_fract_x
_atom_site_fract_y
_atom_site_fract_z
Tm1 Tm 0.0000 0.0000 0.0000
Tm2 Tm 0.5000 0.5000 0.5000
Zr1 Zr 0.0000 0.0000 0.3368
Zr2 Zr 0.0000 0.0000 0.6632
Zr3 Zr 0.5000 0.5000 0.1632
Zr4 Zr 0.5000 0.5000 0.8368
As1 As 0.0000 0.5000 0.0000
As2 As 0.0000 0.5000 0.3286
As3 As 0.0000 0.5000 0.6714
As4 As 0.5000 0.0000 0.1714
As5 As 0.5000 0.0000 0.5000
As6 As 0.5000 0.0000 0.8286
```

The 10 most intense peaks (10° ≤ 2θ ≤ 90°), low angle first:
27.8 deg, d = 3.206 Å, rel. 8; 32.2 deg, d = 2.777 Å, rel. 100; 46.2 deg, d = 1.965 Å, rel. 60; 46.4 deg, d = 1.958 Å, rel. 12; 57.4 deg, d = 1.606 Å, rel. 12; 57.6 deg, d = 1.601 Å, rel. 12; 67.5 deg, d = 1.388 Å, rel. 11; 76.7 deg, d = 1.243 Å, rel. 16; 76.8 deg, d = 1.242 Å, rel. 11; 85.5 deg, d = 1.135 Å, rel. 12

# 2
Diffraction record for NaRe3Bi. The powder diffractogram is calculated, not measured: it uses a structure optimized by DFT (PBE) and Cu Kα, 1.54184 Å.
Lines closer than 0.1° are merged.

```
data_NaRe3Bi
_chemical_formula_sum 'Na1 Re3 Bi1'
_cell_length_a 4.6464
_cell_length_b 4.6464
_cell_length_c 4.6464
_cell_angle_alpha 90.00
_cell_angle_beta 90.00
_cell_angle_gamma 90.00
_symmetry_space_group_name_H-M 'P 1'
_symmetry_Int_Tables_number 1
_symmetry_space_group_name_Hall 'P 1'
loop_
_atom_site_label
_atom_site_type_symbol
_atom_site_fract_x
_atom_site_fract_y
_atom_site_fract_z
Na1 Na 0.0000 0.0000 0.0000
Re1 Re 0.0000 0.0000 0.5000
Re2 Re 0.0000 0.5000 0.0000
Re3 Re 0.5000 0.0000 0.0000
Bi1 Bi 0.5000 0.5000 0.5000
```

The 7 most intense peaks (10° ≤ 2θ ≤ 90°), low angle first:
27.1 deg, d = 3.285 Å, rel. 1; 33.4 deg, d = 2.683 Å, rel. 100; 38.8 deg, d = 2.323 Å, rel. 57; 56.0 deg, d = 1.643 Å, rel. 40; 66.8 deg, d = 1.401 Å, rel. 42; 70.2 deg, d = 1.341 Å, rel. 14; 83.2 deg, d = 1.162 Å, rel. 7

# 3
Diffraction record for PmZn2Ga2. The powder diffractogram is calculated, not measured: it uses a structure optimized by DFT (PBE) and Cu Kα, 1.54184 Å.
Lines closer than 0.1° are merged.

```
data_PmZn2Ga2
_chemical_formula_sum 'Pm2 Zn4 Ga4'
_cell_length_a 4.2312
_cell_length_b 4.2312
_cell_length_c 10.6307
_cell_angle_alpha 90.00
_cell_angle_beta 90.00
_cell_angle_gamma 90.00
_symmetry_space_group_name_H-M 'P 1'
_symmetry_Int_Tables_number 1
_symmetry_space_group_name_Hall 'P 1'
loop_
_atom_site_label
_atom_site_type_symbol
_atom_site_fract_x
_atom_site_fract_y
_atom_site_fract_z
Pm1 Pm 0.2500 0.2500 0.2493
Pm2 Pm 0.7500 0.7500 0.7507
Zn1 Zn 0.2500 0.2500 0.6368
Zn2 Zn 0.2500 0.7500 0.0000
Zn3 Zn 0.7500 0.2500 0.0000
Zn4 Zn 0.7500 0.7500 0.3632
Ga1 Ga 0.2500 0.2500 0.8649
Ga2 Ga 0.2500 0.7500 0.5000
Ga3 Ga 0.7500 0.2500 0.5000
Ga4 Ga 0.7500 0.7500 0.1351
```

The 10 most intense peaks (10° ≤ 2θ ≤ 90°), low angle first:
29.9 deg, d = 2.992 Å, rel. 16; 33.0 deg, d = 2.717 Å, rel. 59; 34.4 deg, d = 2.607 Å, rel. 100; 42.7 deg, d = 2.116 Å, rel. 53; 47.9 deg, d = 1.900 Å, rel. 31; 55.0 deg, d = 1.669 Å, rel. 27; 62.0 deg, d = 1.496 Å, rel. 17; 66.1 deg, d = 1.414 Å, rel. 23; 72.9 deg, d = 1.298 Å, rel. 21; 86.5 deg, d = 1.125 Å, rel. 12

# 4
Diffraction record for Dy7Er4Zr. The powder diffractogram is calculated, not measured: it uses a structure optimized by DFT (PBE) and Cu Kα, 1.54184 Å.
Lines closer than 0.1° are merged.

```
data_Dy7Er4Zr
_chemical_formula_sum 'Dy7 Er4 Zr1'
_cell_length_a 5.9064
_cell_length_b 6.8109
_cell_length_c 9.8197
_cell_angle_alpha 69.99
_cell_angle_beta 86.52
_cell_angle_gamma 89.88
_symmetry_space_group_name_H-M 'P 1'
_symmetry_Int_Tables_number 1
_symmetry_space_group_name_Hall 'P 1'
loop_
_atom_site_label
_atom_site_type_symbol
_atom_site_fract_x
_atom_site_fract_y
_atom_site_fract_z
Dy1 Dy 0.0000 0.0000 0.0000
Dy2 Dy 0.2105 0.7144 0.5777
Dy3 Dy 0.2604 0.5327 0.9308
Dy4 Dy 0.2649 0.1920 0.6239
Dy5 Dy 0.7351 0.8080 0.3761
Dy6 Dy 0.7396 0.4673 0.0692
Dy7 Dy 0.7895 0.2856 0.4223
Er1 Er 0.2747 0.6020 0.2701
Er2 Er 0.2781 0.1276 0.2699
Er3 Er 0.7219 0.8724 0.7301
Er4 Er 0.7253 0.3980 0.7299
Zr1 Zr 0.5000 0.0000 0.0000
```

The 10 most intense peaks (10° ≤ 2θ ≤ 90°), low angle first:
29.1 deg, d = 3.069 Å, rel. 23; 30.3 deg, d = 2.947 Å, rel. 60; 31.6 deg, d = 2.835 Å, rel. 79; 32.0 deg, d = 2.793 Å, rel. 100; 32.2 deg, d = 2.777 Å, rel. 49; 32.6 deg, d = 2.745 Å, rel. 49; 32.8 deg, d = 2.731 Å, rel. 43; 33.8 deg, d = 2.654 Å, rel. 85; 35.5 deg, d = 2.530 Å, rel. 23; 53.8 deg, d = 1.703 Å, rel. 33